For Er5Zn4Cd, DFT lattice parameters and positions (PBE) gives the computed X-ray powder pattern in this record (a wavelength of 1.5418 Å).

Atomic structure:
Unit cell a=3.540 b=3.540 c=18.057 alpha=90.00 beta=90.00 gamma=90.00
Sites, in units of the cell vectors:
Er 0.000 0.000 0.000
Er 0.000 0.000 0.194
Er 0.000 0.000 0.387
Er 0.000 0.000 0.613
Er 0.000 0.000 0.806
Zn 0.500 0.500 0.097
Zn 0.500 0.500 0.292
Zn 0.500 0.500 0.708
Zn 0.500 0.500 0.903
Cd 0.500 0.500 0.500

Largest 12 diffraction maxima, in order of rising 2θ, 5° ≤ 2θ ≤ 70°:
2θ/deg, I (rel.)
24.65, 7
25.16, 15
32.13, 3
35.51, 100
35.87, 52
44.01, 6
50.55, 8
51.64, 18
58.03, 3
58.28, 3
63.53, 15
64.24, 35